Calculated powder diffractogram of LiMg3 for Cu Kα, 1.54184 Å, from a crystal structure in the Materials Project, relaxed with PBE.

Top 12 peaks for 2θ from 15° to 90°, in order of rising 2θ:
| 2θ/deg | I_rel |
| --- | --- |
| 17.33 | 10 |
| 18.44 | 17 |
| 29.66 | 5 |
| 30.93 | 5 |
| 32.83 | 28 |
| 35.08 | 26 |
| 37.36 | 100 |
| 48.81 | 18 |
| 58.61 | 17 |
| 64.44 | 19 |
| 70.18 | 19 |
| 71.60 | 13 |

Structure:
Cell: 6.007 6.007 6.007 Å, 149.59 63.23 126.02°
Positions (direct):
Li: 0.000 0.000 0.000
Mg: 0.082 0.332 0.749
Mg: 0.497 0.997 0.500
Mg: 0.583 0.332 0.251